BaLuCo4O7: simulated X-ray diffraction stick pattern (Cu Kα (λ = 1.5418 Å)), based on a cell relaxed with PBE+U.
Peak positions follow from Bragg's law for the DFT cell and can differ from measured ones.

Structural model:
Cell lengths 10.939, 6.336, 10.212 Å; angles 90.00, 90.00, 90.00 degrees
Fractional positions:
Ba 0.156 0.007 0.000
Ba 0.344 0.507 0.500
Ba 0.656 0.493 0.000
Ba 0.844 0.993 0.500
Lu 0.169 0.999 0.631
Lu 0.331 0.499 0.131
Lu 0.669 0.501 0.631
Lu 0.831 0.001 0.131
Co 0.002 0.501 0.558
Co 0.084 0.248 0.318
Co 0.088 0.756 0.309
Co 0.173 0.505 0.812
Co 0.327 0.005 0.312
Co 0.412 0.256 0.809
Co 0.416 0.748 0.818
Co 0.498 0.001 0.058
Co 0.502 0.999 0.558
Co 0.584 0.252 0.318
Co 0.588 0.744 0.309
Co 0.673 0.995 0.812
Co 0.827 0.495 0.312
Co 0.912 0.244 0.809
Co 0.916 0.752 0.818
Co 0.998 0.499 0.058
O 0.001 0.499 0.746
O 0.006 0.997 0.754
O 0.060 0.238 0.509
O 0.087 0.740 0.503
O 0.164 0.453 0.004
O 0.244 0.782 0.777
O 0.245 0.774 0.221
O 0.255 0.274 0.721
O 0.256 0.282 0.277
O 0.336 0.953 0.504
O 0.413 0.240 0.003
O 0.440 0.738 0.009
O 0.494 0.497 0.254
O 0.499 0.999 0.246
O 0.501 0.001 0.746
O 0.506 0.503 0.754
O 0.560 0.262 0.509
O 0.587 0.760 0.503
O 0.664 0.047 0.004
O 0.744 0.718 0.777
O 0.745 0.726 0.221
O 0.755 0.226 0.721
O 0.756 0.218 0.277
O 0.836 0.547 0.504
O 0.913 0.260 0.003
O 0.940 0.762 0.009
O 0.994 0.003 0.254
O 0.999 0.501 0.246

Top 10 peaks for 2θ from 10° to 90°, in order of falling intensity:
d 2.891, intensity 100
d 2.689, intensity 98
d 2.646, intensity 73
d 3.163, intensity 61
d 1.637, intensity 37
d 1.768, intensity 29
d 1.580, intensity 24
d 1.721, intensity 18
d 4.828, intensity 16
d 1.771, intensity 16